# Ce2Cd3Pb3
Simulated X-ray diffraction stick pattern, Cu Ka. Input: a GGA-PBE-relaxed structure.
Intensities are scaled so that the largest is 100.

Crystal structure
a b c (Å): 4.7595 4.9526 9.1948
angles (deg): 90.00 90.00 90.00
Space group Pmmm (No. 47)
One atom of each set of equivalent atoms:
Ce: 0.0000 0.0000 0.2469 (multiplicity 2)
Cd: 0.0000 0.5000 0.5000 (multiplicity 1)
Cd: 0.5000 0.5000 0.2609 (multiplicity 2)
Pb: 0.0000 0.5000 0.0000 (multiplicity 1)
Pb: 0.5000 0.0000 0.0000 (multiplicity 1)
Pb: 0.5000 0.0000 0.5000 (multiplicity 1)

Peak list (10 most intense, 2θ = 10–90°, sorted by position)
| 2θ/deg | d [Å] | Rel. int. | h k l |
| --- | --- | --- | --- |
| 32.56 | 2.750 | 100 | 1 1 2 |
| 36.28 | 2.476 | 19 | 0 2 0 |
| 37.80 | 2.380 | 17 | 2 0 0 |
| 39.19 | 2.299 | 15 | 0 0 4 |
| 53.40 | 1.716 | 13 | 2 2 0 |
| 54.46 | 1.685 | 12 | 0 2 4 |
| 62.93 | 1.477 | 15 | 1 3 2 |
| 64.97 | 1.435 | 14 | 3 1 2 |
| 66.86 | 1.399 | 12 | 1 1 6 |
| 68.20 | 1.375 | 12 | 2 2 4 |